The following is a computed PXRD pattern of SmMn8Ni4. It was derived from a cell relaxed with PBE, using Cu Kα (weighted mean of Kα1 and Kα2).
Lines closer than 0.1° are merged.

Largest 10 diffraction maxima, sorted by position, 2θ = 10–90°:
2.980 Å, 29.99 deg, I = 21; 2.675 Å, 33.50 deg, I = 14; 2.436 Å, 36.90 deg, I = 33; 2.418 Å, 37.18 deg, I = 14; 2.113 Å, 42.81 deg, I = 100; 2.099 Å, 43.09 deg, I = 46; 1.890 Å, 48.14 deg, I = 13; 1.880 Å, 48.41 deg, I = 20; 1.220 Å, 78.36 deg, I = 17; 1.218 Å, 78.54 deg, I = 13

Structure:
```
data_SmMn8Ni4
_chemical_formula_sum 'Sm2 Mn16 Ni8'
_symmetry_space_group_name_H-M 'I 4/m m m'
_symmetry_Int_Tables_number 139
_symmetry_space_group_name_Hall '-I 4 2'
_cell_length_a 8.4596
_cell_length_b 8.4596
_cell_length_c 4.8359
_cell_angle_alpha 90.00
_cell_angle_beta 90.00
_cell_angle_gamma 90.00
loop_
_atom_site_label
_atom_site_type_symbol
_atom_site_fract_x
_atom_site_fract_y
_atom_site_fract_z
Sm1 Sm 0.0000 0.0000 0.0000
Mn1 Mn 0.0000 0.2387 0.5000
Mn2 Mn 0.2500 0.2500 0.2500
Ni1 Ni 0.0000 0.3492 0.0000
```